Calculated powder diffraction line list
Compound: Li3Mn2NiO6
Radiation: Cu Kα X-rays
Structure: a crystal structure in Alexandria, relaxed with PBE+U

Principal peaks in the range 10 to 90 degrees two-theta, sorted by position:
18.2 deg, d = 4.864 Å, I 100; 34.9 deg, d = 2.573 Å, I 15; 36.0 deg, d = 2.495 Å, I 27; 37.0 deg, d = 2.429 Å, I 10; 41.9 deg, d = 2.156 Å, I 28; 43.7 deg, d = 2.073 Å, I 25; 44.0 deg, d = 2.059 Å, I 24; 61.7 deg, d = 1.504 Å, I 7; 62.3 deg, d = 1.491 Å, I 7; 62.4 deg, d = 1.487 Å, I 7; 62.6 deg, d = 1.485 Å, I 7; 63.5 deg, d = 1.465 Å, I 7

Structural model:
Cell: 2.971 6.022 6.526 Å, 102.93 102.93 92.23°
Atoms (fractional coordinates):
Li: 0.000 0.000 0.000
Li: 0.293 0.675 0.648
Li: 0.621 0.339 0.325
Mn: 0.295 0.166 0.649
Mn: 0.946 0.510 0.992
Ni: 0.634 0.839 0.328
O: 0.106 0.587 0.299
O: 0.148 0.083 0.333
O: 0.430 0.288 0.981
O: 0.460 0.724 0.988
O: 0.764 0.418 0.675
O: 0.844 0.936 0.665